(1)
This entry pairs a crystal structure of LaBr2N2 with its simulated PXRD pattern. Radiation: λ = 1.5418 Å (Cu Kα). Structure: a structure optimized by DFT (GGA-PBE).
Intensities are scaled so that the largest is 100.

Atomic structure:
```
data_LaBr2N2
_cell_length_a 5.324
_cell_length_b 7.967
_cell_length_c 9.037
_cell_angle_alpha 107.54
_cell_angle_beta 95.11
_cell_angle_gamma 99.78
_symmetry_space_group_name_H-M 'P -1'
_symmetry_Int_Tables_number 2
loop_
_symmetry_equiv_pos_as_xyz
'x,y,z'
'-x,-y,-z'
loop_
_atom_site_label
_atom_site_type_symbol
_atom_site_fract_x
_atom_site_fract_y
_atom_site_fract_z
_atom_site_occupancy
La1 La 0.032 0.056 0.266 1
Br1 Br 0.045 0.762 0.971 1
Br2 Br 0.089 0.251 0.611 1
N1 N 0.444 0.885 0.710 1
N2 N 0.486 0.252 0.326 1
```

The 6 most intense peaks (10 to 80 degrees two-theta), in order of rising 2θ:
hkl 0 1 0, 11.91°, intensity 73
hkl 1 0 0, 17.09°, intensity 100
hkl 1 -1 0, 18.72°, intensity 28
hkl 0 2 -2, 26.25°, intensity 24
hkl 0 1 2, 27.28°, intensity 23
hkl -1 1 2, 29.14°, intensity 31


(2)
This entry pairs a crystal structure of La3Br2N with its simulated PXRD pattern. Radiation: λ = 1.5418 Å (Cu Kα). Structure: a structure optimized by DFT (GGA-PBE).
Intensities are scaled so that the largest is 100.

Atomic structure:
```
data_La3Br2N
_cell_length_a 7.950
_cell_length_b 12.013
_cell_length_c 6.663
_cell_angle_alpha 90.00
_cell_angle_beta 107.66
_cell_angle_gamma 90.00
_symmetry_space_group_name_H-M 'C 1 2/c 1'
_symmetry_Int_Tables_number 15
loop_
_symmetry_equiv_pos_as_xyz
'x,y,z'
'-x,-y,-z'
'-x,y,-z+1/2'
'x,-y,z+1/2'
'x+1/2,y+1/2,z'
'-x+1/2,-y+1/2,-z'
'-x+1/2,y+1/2,-z+1/2'
'x+1/2,-y+1/2,z+1/2'
loop_
_atom_site_label
_atom_site_type_symbol
_atom_site_fract_x
_atom_site_fract_y
_atom_site_fract_z
_atom_site_occupancy
La1 La 0.181 0.073 0.002 1
La2 La 0.250 0.250 0.500 1
Br1 Br 0.000 0.274 0.750 1
Br2 Br 0.000 0.428 0.250 1
N1 N 0.000 0.080 0.250 1
```

The 6 most intense peaks (10 to 80 degrees two-theta), in order of rising 2θ:
hkl 1 3 -1, 27.04°, intensity 20
hkl 1 3 1, 30.61°, intensity 100
hkl 2 0 -2, 30.78°, intensity 39
hkl 3 1 0, 36.36°, intensity 20
hkl 3 3 -1, 40.98°, intensity 21
hkl 1 3 -3, 46.78°, intensity 30


(3)
This entry pairs a crystal structure of LaPrBrN with its simulated PXRD pattern. Radiation: λ = 1.5418 Å (Cu Kα). Structure: a structure optimized by DFT (GGA-PBE).
Intensities are scaled so that the largest is 100.

Atomic structure:
```
data_LaPrBrN
_cell_length_a 6.497
_cell_length_b 3.768
_cell_length_c 7.881
_cell_angle_alpha 90.00
_cell_angle_beta 105.98
_cell_angle_gamma 90.00
_symmetry_space_group_name_H-M 'C 1 m 1'
_symmetry_Int_Tables_number 8
loop_
_symmetry_equiv_pos_as_xyz
'x,y,z'
'x,-y,z'
'x+1/2,y+1/2,z'
'x+1/2,-y+1/2,z'
loop_
_atom_site_label
_atom_site_type_symbol
_atom_site_fract_x
_atom_site_fract_y
_atom_site_fract_z
_atom_site_occupancy
La1 La 0.000 0.000 0.000 1
Pr1 Pr 0.287 0.500 0.360 1
Br1 Br 0.224 0.000 0.671 1
N1 N 0.393 0.000 0.179 1
```

The 6 most intense peaks (10 to 80 degrees two-theta), in order of rising 2θ:
hkl 2 0 -1, 27.68°, intensity 46
hkl 1 1 1, 31.67°, intensity 81
hkl 1 1 -2, 33.86°, intensity 100
hkl 0 0 3, 35.55°, intensity 29
hkl 3 1 -1, 48.48°, intensity 29
hkl 3 1 2, 61.54°, intensity 23


(4)
This entry pairs a crystal structure of Sr2LaBr2N2 with its simulated PXRD pattern. Radiation: λ = 1.5418 Å (Cu Kα). Structure: a structure optimized by DFT (GGA-PBE).
Intensities are scaled so that the largest is 100.

Atomic structure:
```
data_Sr2LaBr2N2
_cell_length_a 4.637
_cell_length_b 4.637
_cell_length_c 16.231
_cell_angle_alpha 90.00
_cell_angle_beta 90.00
_cell_angle_gamma 90.00
_symmetry_space_group_name_H-M 'I 4/m m m'
_symmetry_Int_Tables_number 139
_symmetry_space_group_name_Hall '-I 4 2'
loop_
_atom_site_label
_atom_site_type_symbol
_atom_site_fract_x
_atom_site_fract_y
_atom_site_fract_z
_atom_site_occupancy
Sr1 Sr 0.000 0.000 0.105 1
La1 La 0.000 0.000 0.500 1
Br1 Br 0.000 0.000 0.311 1
N1 N 0.000 0.500 0.000 1
```

The 6 most intense peaks (10 to 80 degrees two-theta), in order of rising 2θ:
hkl 0 0 2, 10.90°, intensity 14
hkl 1 1 0, 27.20°, intensity 81
hkl 1 0 5, 33.70°, intensity 100
hkl 2 0 0, 38.85°, intensity 39
hkl 2 1 5, 52.36°, intensity 56
hkl 3 1 0, 63.44°, intensity 15


(5)
This entry pairs a crystal structure of La2NbBr with its simulated PXRD pattern. Radiation: λ = 1.5418 Å (Cu Kα). Structure: a structure optimized by DFT (GGA-PBE).
Intensities are scaled so that the largest is 100.

Atomic structure:
```
data_La2NbBr
_cell_length_a 7.667
_cell_length_b 7.667
_cell_length_c 7.667
_cell_angle_alpha 90.00
_cell_angle_beta 90.00
_cell_angle_gamma 90.00
_symmetry_space_group_name_H-M 'F m -3 m'
_symmetry_Int_Tables_number 225
_symmetry_space_group_name_Hall '-F 4 2 3'
loop_
_atom_site_label
_atom_site_type_symbol
_atom_site_fract_x
_atom_site_fract_y
_atom_site_fract_z
_atom_site_occupancy
La1 La 0.250 0.250 0.250 1
Nb1 Nb 0.000 0.000 0.000 1
Br1 Br 0.000 0.000 0.500 1
```

The 6 most intense peaks (10 to 80 degrees two-theta), in order of rising 2θ:
hkl 2 0 0, 23.20°, intensity 5
hkl 2 2 0, 33.04°, intensity 100
hkl 4 0 0, 47.43°, intensity 18
hkl 4 2 2, 59.02°, intensity 37
hkl 4 4 0, 69.33°, intensity 11
hkl 6 2 0, 78.98°, intensity 16


(6)
This entry pairs a crystal structure of La8Ni4Br7 with its simulated PXRD pattern. Radiation: λ = 1.5418 Å (Cu Kα). Structure: a structure optimized by DFT (GGA-PBE).
Intensities are scaled so that the largest is 100.

Atomic structure:
```
data_La8Ni4Br7
_cell_length_a 29.907
_cell_length_b 4.044
_cell_length_c 8.892
_cell_angle_alpha 90.00
_cell_angle_beta 92.50
_cell_angle_gamma 90.00
_symmetry_space_group_name_H-M 'C 1 2/m 1'
_symmetry_Int_Tables_number 12
loop_
_symmetry_equiv_pos_as_xyz
'x,y,z'
'-x,-y,-z'
'-x,y,-z'
'x,-y,z'
'x+1/2,y+1/2,z'
'-x+1/2,-y+1/2,-z'
'-x+1/2,y+1/2,-z'
'x+1/2,-y+1/2,z'
loop_
_atom_site_label
_atom_site_type_symbol
_atom_site_fract_x
_atom_site_fract_y
_atom_site_fract_z
_atom_site_occupancy
La1 La 0.012 0.000 0.311 1
La2 La 0.096 0.500 0.844 1
La3 La 0.124 0.500 0.432 1
La4 La 0.205 0.000 0.700 1
Ni1 Ni 0.040 0.500 0.553 1
Ni2 Ni 0.099 0.000 0.630 1
Br1 Br 0.000 0.500 0.000 1
Br2 Br 0.104 0.000 0.142 1
Br3 Br 0.196 0.500 0.955 1
Br4 Br 0.213 0.000 0.356 1
```

The 6 most intense peaks (10 to 80 degrees two-theta), in order of rising 2θ:
hkl 5 1 1, 28.72°, intensity 50
hkl 10 0 0, 29.91°, intensity 67
hkl 1 1 2, 30.13°, intensity 100
hkl 4 0 3, 33.07°, intensity 91
hkl 7 1 -2, 36.15°, intensity 37
hkl 0 2 0, 44.83°, intensity 50


(7)
This entry pairs a crystal structure of La3NiBr3 with its simulated PXRD pattern. Radiation: λ = 1.5418 Å (Cu Kα). Structure: a structure optimized by DFT (GGA-PBE).
Intensities are scaled so that the largest is 100.

Atomic structure:
```
data_La3NiBr3
_cell_length_a 12.449
_cell_length_b 12.449
_cell_length_c 11.662
_cell_angle_alpha 90.00
_cell_angle_beta 90.00
_cell_angle_gamma 90.00
_symmetry_space_group_name_H-M 'I 41 2 2'
_symmetry_Int_Tables_number 98
_symmetry_space_group_name_Hall 'I 4bw 2bw'
loop_
_atom_site_label
_atom_site_type_symbol
_atom_site_fract_x
_atom_site_fract_y
_atom_site_fract_z
_atom_site_occupancy
La1 La 0.112 0.112 0.000 1
La2 La 0.130 0.633 0.026 1
Ni1 Ni 0.127 0.627 0.250 1
Br1 Br 0.119 0.619 0.750 1
Br2 Br 0.123 0.128 0.262 1
```

The 6 most intense peaks (10 to 80 degrees two-theta), in order of rising 2θ:
hkl 1 0 1, 10.39°, intensity 27
hkl 4 0 0, 28.68°, intensity 100
hkl 0 0 4, 30.66°, intensity 40
hkl 4 4 0, 41.01°, intensity 36
hkl 4 0 4, 42.49°, intensity 56
hkl 4 4 4, 52.07°, intensity 30


(8)
This entry pairs a crystal structure of La6NiP2Br3 with its simulated PXRD pattern. Radiation: λ = 1.5418 Å (Cu Kα). Structure: a structure optimized by DFT (GGA-PBE).
Intensities are scaled so that the largest is 100.

Atomic structure:
```
data_La6NiP2Br3
_cell_length_a 7.395
_cell_length_b 12.723
_cell_length_c 7.724
_cell_angle_alpha 90.00
_cell_angle_beta 109.04
_cell_angle_gamma 90.00
_symmetry_space_group_name_H-M 'C 1 2/m 1'
_symmetry_Int_Tables_number 12
loop_
_symmetry_equiv_pos_as_xyz
'x,y,z'
'-x,-y,-z'
'-x,y,-z'
'x,-y,z'
'x+1/2,y+1/2,z'
'-x+1/2,-y+1/2,-z'
'-x+1/2,y+1/2,-z'
'x+1/2,-y+1/2,z'
loop_
_atom_site_label
_atom_site_type_symbol
_atom_site_fract_x
_atom_site_fract_y
_atom_site_fract_z
_atom_site_occupancy
La1 La 0.234 0.163 0.210 1
La2 La 0.237 0.500 0.218 1
Ni1 Ni 0.000 0.000 0.000 1
P1 P 0.000 0.333 0.000 1
Br1 Br 0.000 0.173 0.500 1
Br2 Br 0.000 0.500 0.500 1
```

The 6 most intense peaks (10 to 80 degrees two-theta), in order of rising 2θ:
hkl 1 3 -1, 25.50°, intensity 30
hkl 2 0 -2, 29.04°, intensity 52
hkl 1 3 1, 29.30°, intensity 100
hkl 1 3 -3, 41.02°, intensity 33
hkl 3 3 -1, 42.42°, intensity 39
hkl 2 6 -2, 52.39°, intensity 31


(9)
This entry pairs a crystal structure of La8Tc3NiBr4 with its simulated PXRD pattern. Radiation: λ = 1.5418 Å (Cu Kα). Structure: a structure optimized by DFT (GGA-PBE).
Intensities are scaled so that the largest is 100.

Atomic structure:
```
data_La8Tc3NiBr4
_cell_length_a 14.429
_cell_length_b 8.383
_cell_length_c 9.269
_cell_angle_alpha 90.00
_cell_angle_beta 121.08
_cell_angle_gamma 90.00
_symmetry_space_group_name_H-M 'C 1 2/m 1'
_symmetry_Int_Tables_number 12
loop_
_symmetry_equiv_pos_as_xyz
'x,y,z'
'-x,-y,-z'
'-x,y,-z'
'x,-y,z'
'x+1/2,y+1/2,z'
'-x+1/2,-y+1/2,-z'
'-x+1/2,y+1/2,-z'
'x+1/2,-y+1/2,z'
loop_
_atom_site_label
_atom_site_type_symbol
_atom_site_fract_x
_atom_site_fract_y
_atom_site_fract_z
_atom_site_occupancy
La1 La 0.019 0.243 0.303 1
La2 La 0.234 0.000 0.701 1
La3 La 0.237 0.500 0.696 1
Tc1 Tc 0.000 0.000 0.500 1
Tc2 Tc 0.250 0.250 0.500 1
Ni1 Ni 0.000 0.500 0.500 1
Br1 Br 0.000 0.000 0.000 1
Br2 Br 0.000 0.500 0.000 1
Br3 Br 0.250 0.250 0.000 1
```

The 6 most intense peaks (10 to 80 degrees two-theta), in order of rising 2θ:
hkl 0 0 1, 11.15°, intensity 17
hkl 4 0 0, 28.87°, intensity 100
hkl 2 2 -3, 36.24°, intensity 12
hkl 2 2 2, 39.13°, intensity 20
hkl 0 4 0, 43.17°, intensity 12
hkl 6 2 -2, 43.38°, intensity 24


(10)
This entry pairs a crystal structure of La8Os3Br4O with its simulated PXRD pattern. Radiation: λ = 1.5418 Å (Cu Kα). Structure: a structure optimized by DFT (GGA-PBE).
Intensities are scaled so that the largest is 100.

Atomic structure:
```
data_La8Os3Br4O
_cell_length_a 14.228
_cell_length_b 8.198
_cell_length_c 9.227
_cell_angle_alpha 90.00
_cell_angle_beta 120.95
_cell_angle_gamma 90.00
_symmetry_space_group_name_H-M 'C 1 2/m 1'
_symmetry_Int_Tables_number 12
loop_
_symmetry_equiv_pos_as_xyz
'x,y,z'
'-x,-y,-z'
'-x,y,-z'
'x,-y,z'
'x+1/2,y+1/2,z'
'-x+1/2,-y+1/2,-z'
'-x+1/2,y+1/2,-z'
'x+1/2,-y+1/2,z'
loop_
_atom_site_label
_atom_site_type_symbol
_atom_site_fract_x
_atom_site_fract_y
_atom_site_fract_z
_atom_site_occupancy
La1 La 0.018 0.243 0.313 1
La2 La 0.227 0.000 0.689 1
La3 La 0.235 0.500 0.704 1
Os1 Os 0.000 0.500 0.500 1
Os2 Os 0.250 0.250 0.500 1
Br1 Br 0.000 0.000 0.000 1
Br2 Br 0.000 0.500 0.000 1
Br3 Br 0.250 0.250 0.000 1
O1 O 0.000 0.000 0.500 1
```

The 6 most intense peaks (10 to 80 degrees two-theta), in order of rising 2θ:
hkl 0 0 1, 11.18°, intensity 35
hkl 4 0 0, 29.29°, intensity 100
hkl 2 2 -3, 36.63°, intensity 18
hkl 2 2 2, 39.57°, intensity 29
hkl 0 4 0, 44.14°, intensity 37
hkl 4 4 0, 53.90°, intensity 12


(11)
This entry pairs a crystal structure of LaRuBrO4 with its simulated PXRD pattern. Radiation: λ = 1.5418 Å (Cu Kα). Structure: a structure optimized by DFT (GGA-PBE).
Intensities are scaled so that the largest is 100.

Atomic structure:
```
data_LaRuBrO4
_cell_length_a 10.871
_cell_length_b 7.497
_cell_length_c 7.166
_cell_angle_alpha 90.00
_cell_angle_beta 104.45
_cell_angle_gamma 90.00
_symmetry_space_group_name_H-M 'C 1 2/m 1'
_symmetry_Int_Tables_number 12
loop_
_symmetry_equiv_pos_as_xyz
'x,y,z'
'-x,-y,-z'
'-x,y,-z'
'x,-y,z'
'x+1/2,y+1/2,z'
'-x+1/2,-y+1/2,-z'
'-x+1/2,y+1/2,-z'
'x+1/2,-y+1/2,z'
loop_
_atom_site_label
_atom_site_type_symbol
_atom_site_fract_x
_atom_site_fract_y
_atom_site_fract_z
_atom_site_occupancy
La1 La 0.229 0.000 0.119 1
Ru1 Ru 0.135 0.500 0.272 1
Br1 Br 0.015 0.000 0.754 1
O1 O 0.032 0.500 0.770 1
O2 O 0.191 0.324 0.136 1
O3 O 0.212 0.500 0.520 1
```

The 6 most intense peaks (10 to 80 degrees two-theta), in order of rising 2θ:
hkl 0 0 1, 12.76°, intensity 34
hkl 2 0 1, 23.63°, intensity 40
hkl 0 2 0, 23.74°, intensity 100
hkl 0 0 2, 25.67°, intensity 23
hkl 3 1 -1, 28.10°, intensity 66
hkl 3 1 -2, 33.69°, intensity 59


Q: Number 2 is which compound?
A: La3Br2N


What did the third record say?
This entry pairs a crystal structure of LaPrBrN with its simulated PXRD pattern. Radiation: λ = 1.5418 Å (Cu Kα). Structure: a structure optimized by DFT (GGA-PBE).
Intensities are scaled so that the largest is 100.

Atomic structure:
```
data_LaPrBrN
_cell_length_a 6.497
_cell_length_b 3.768
_cell_length_c 7.881
_cell_angle_alpha 90.00
_cell_angle_beta 105.98
_cell_angle_gamma 90.00
_symmetry_space_group_name_H-M 'C 1 m 1'
_symmetry_Int_Tables_number 8
loop_
_symmetry_equiv_pos_as_xyz
'x,y,z'
'x,-y,z'
'x+1/2,y+1/2,z'
'x+1/2,-y+1/2,z'
loop_
_atom_site_label
_atom_site_type_symbol
_atom_site_fract_x
_atom_site_fract_y
_atom_site_fract_z
_atom_site_occupancy
La1 La 0.000 0.000 0.000 1
Pr1 Pr 0.287 0.500 0.360 1
Br1 Br 0.224 0.000 0.671 1
N1 N 0.393 0.000 0.179 1
```

The 6 most intense peaks (10 to 80 degrees two-theta), in order of rising 2θ:
hkl 2 0 -1, 27.68°, intensity 46
hkl 1 1 1, 31.67°, intensity 81
hkl 1 1 -2, 33.86°, intensity 100
hkl 0 0 3, 35.55°, intensity 29
hkl 3 1 -1, 48.48°, intensity 29
hkl 3 1 2, 61.54°, intensity 23